Theoretical powder XRD pattern of Tm6CdPd12 for Cu Kα (weighted mean of Kα1 and Kα2), from a crystal structure in Alexandria, relaxed with GGA-PBE.
Intensities are scaled so that the largest is 100.

Structure:
abc: 10.8053 10.8053 10.9917
angles: 90.00 90.00 120.00
Space group R-3 (No. 148, hexagonal axes)
Symmetry-distinct sites (fractional):
Tm: 0.0095 0.5802 0.2435 (multiplicity 18)
Cd: 0.0000 0.0000 0.5000 (multiplicity 3)
Pd: 0.0623 0.8680 0.3240 (multiplicity 18)
Pd: 0.0641 0.1769 0.8898 (multiplicity 18)

Most intense lines, 2θ from 10° to 80°, sorted by position:
- 29.5 deg, I = 32.5, (1 1 3)
- 34.0 deg, I = 19.9, (1 0 4)
- 35.5 deg, I = 100.0, (4 -3 1)
- 37.9 deg, I = 46.0, (0 2 4)
- 38.4 deg, I = 92.6, (3 1 2)
- 41.6 deg, I = 16.7, (4 -2 3)
- 42.0 deg, I = 11.6, (0 4 2)
- 42.2 deg, I = 16.9, (0 1 5)
- 48.8 deg, I = 12.1, (3 -2 5)
- 51.2 deg, I = 19.0, (4 1 3)
- 61.9 deg, I = 21.7, (2 5 0)
- 73.5 deg, I = 15.7, (6 2 1)

Theoretical powder XRD pattern of Zr3TaCo8 for Cu Kα (weighted mean of Kα1 and Kα2), from a crystal structure in Alexandria, relaxed with GGA-PBE.
Intensities are scaled so that the largest is 100.

Structure:
abc: 4.8532 4.8532 23.8046
angles: 90.00 90.00 120.00
Space group R3m (No. 160, hexagonal axes)
Symmetry-distinct sites (fractional):
Zr: 0.0000 0.0000 0.0000 (multiplicity 3)
Zr: 0.0000 0.0000 0.1260 (multiplicity 3)
Zr: 0.0000 0.0000 0.6235 (multiplicity 3)
Ta: 0.0000 0.0000 0.4999 (multiplicity 3)
Co: 0.0000 0.0000 0.3125 (multiplicity 3)
Co: 0.0000 0.0000 0.8125 (multiplicity 3)
Co: 0.0024 0.5012 0.0639 (multiplicity 9)
Co: 0.1675 0.3350 0.8943 (multiplicity 9)

Most intense lines, 2θ from 10° to 80°, sorted by position:
- 11.2 deg, I = 6.2, (0 0 3)
- 21.5 deg, I = 3.5, (1 0 1)
- 22.4 deg, I = 5.2, (0 1 2)
- 26.0 deg, I = 2.1, (1 0 4)
- 37.0 deg, I = 51.1, (1 1 0)
- 38.8 deg, I = 1.6, (1 1 3)
- 43.7 deg, I = 100.0, (1 0 10)
- 45.8 deg, I = 22.0, (0 2 4)
- 51.1 deg, I = 1.4, (1 1 9)
- 66.7 deg, I = 17.8, (3 0 0)
- 71.4 deg, I = 29.0, (3 0 6)
- 78.9 deg, I = 22.1, (2 2 0)